No. 1
Computed XRD peak list of AcY3Tm7 for Cu Kα, from a DFT-relaxed cell (PBE, Alexandria).
No peak broadening, texture or thermal motion is included.

Cell and atoms:
```
data_AcY3Tm7
_symmetry_space_group_name_H-M 'P 1'
_symmetry_Int_Tables_number 1
_symmetry_space_group_name_Hall 'P 1'
_cell_length_a 7.0454
_cell_length_b 7.0454
_cell_length_c 8.6596
_cell_angle_alpha 90.00
_cell_angle_beta 90.00
_cell_angle_gamma 120.00
loop_
_atom_site_label
_atom_site_type_symbol
_atom_site_fract_x
_atom_site_fract_y
_atom_site_fract_z
_atom_site_occupancy
Ac1 Ac 0.0000 0.0000 0.0000 1
Y1 Y 0.1685 0.3369 0.6577 1
Y2 Y 0.1685 0.8315 0.6577 1
Y3 Y 0.6631 0.8315 0.6577 1
Tm1 Tm 0.0027 0.5013 0.0013 1
Tm2 Tm 0.3335 0.1667 0.3295 1
Tm3 Tm 0.3333 0.6667 0.3277 1
Tm4 Tm 0.4987 0.5013 0.0013 1
Tm5 Tm 0.4987 0.9973 0.0013 1
Tm6 Tm 0.8333 0.1667 0.3295 1
Tm7 Tm 0.8333 0.6665 0.3295 1
```

Most intense lines, 10° ≤ 2θ ≤ 90°, sorted by position:
d/Å  intensity
8.660  27.8
2.887  31.6
2.877  100.0
2.494  68.6
1.766  23.6
1.761  22.5
1.506  14.7
1.503  40.9
1.439  12.5
1.143  11.9
1.116  10.3
1.114  11.4

---

No. 2
Computed XRD peak list of Ac2Y6Tm for Cu Kα, from a DFT-relaxed cell (PBE, Alexandria).
No peak broadening, texture or thermal motion is included.

Cell and atoms:
```
data_Ac2Y6Tm
_symmetry_space_group_name_H-M 'P 1'
_symmetry_Int_Tables_number 1
_symmetry_space_group_name_Hall 'P 1'
_cell_length_a 8.8100
_cell_length_b 3.6402
_cell_length_c 10.1430
_cell_angle_alpha 90.00
_cell_angle_beta 101.50
_cell_angle_gamma 90.00
loop_
_atom_site_label
_atom_site_type_symbol
_atom_site_fract_x
_atom_site_fract_y
_atom_site_fract_z
_atom_site_occupancy
Ac1 Ac 0.1931 0.0000 0.4594 1
Ac2 Ac 0.8069 0.0000 0.5406 1
Y1 Y 0.1270 0.5000 0.7852 1
Y2 Y 0.1829 0.0000 0.0984 1
Y3 Y 0.4843 0.5000 0.3230 1
Y4 Y 0.5157 0.5000 0.6770 1
Y5 Y 0.8171 0.0000 0.9016 1
Y6 Y 0.8730 0.5000 0.2148 1
Tm1 Tm 0.5000 0.5000 0.0000 1
```

Most intense lines, 10° ≤ 2θ ≤ 90°, sorted by position:
d/Å  intensity
4.970  31.0
3.418  37.7
3.354  45.6
2.937  48.2
2.925  95.2
2.906  93.4
2.879  100.0
2.783  86.8
2.774  33.5
2.452  74.4
1.753  32.6
1.743  35.1

---

No. 3
Computed XRD peak list of Ac8Y4Tm for Cu Kα, from a DFT-relaxed cell (PBE, Alexandria).
No peak broadening, texture or thermal motion is included.

Cell and atoms:
```
data_Ac8Y4Tm
_symmetry_space_group_name_H-M 'P 1'
_symmetry_Int_Tables_number 1
_symmetry_space_group_name_Hall 'P 1'
_cell_length_a 8.3276
_cell_length_b 8.3276
_cell_length_c 8.3276
_cell_angle_alpha 90.04
_cell_angle_beta 90.04
_cell_angle_gamma 90.04
loop_
_atom_site_label
_atom_site_type_symbol
_atom_site_fract_x
_atom_site_fract_y
_atom_site_fract_z
_atom_site_occupancy
Ac1 Ac 0.2435 0.2435 0.2435 1
Ac2 Ac 0.2434 0.2434 0.7561 1
Ac3 Ac 0.2434 0.7561 0.2434 1
Ac4 Ac 0.2439 0.7566 0.7566 1
Ac5 Ac 0.7561 0.2434 0.2434 1
Ac6 Ac 0.7566 0.2439 0.7566 1
Ac7 Ac 0.7566 0.7566 0.2439 1
Ac8 Ac 0.7565 0.7565 0.7565 1
Y1 Y 0.0000 0.0000 0.0000 1
Y2 Y 0.0000 0.5000 0.5000 1
Y3 Y 0.5000 0.0000 0.5000 1
Y4 Y 0.5000 0.5000 0.0000 1
Tm1 Tm 0.5000 0.5000 0.5000 1
```

Most intense lines, 10° ≤ 2θ ≤ 90°, sorted by position:
d/Å  intensity
4.164  33.3
2.944  100.0
2.404  10.9
2.082  18.8
1.862  15.5
1.700  39.9
1.472  12.4
1.388  7.4
1.317  16.9
1.255  4.3
1.113  15.2
1.112  5.0

---

No. 4
Computed XRD peak list of AcY4Tm3 for Cu Kα, from a DFT-relaxed cell (PBE, Alexandria).
No peak broadening, texture or thermal motion is included.

Cell and atoms:
```
data_AcY4Tm3
_symmetry_space_group_name_H-M 'P 1'
_symmetry_Int_Tables_number 1
_symmetry_space_group_name_Hall 'P 1'
_cell_length_a 8.9340
_cell_length_b 8.9340
_cell_length_c 8.9340
_cell_angle_alpha 157.12
_cell_angle_beta 98.46
_cell_angle_gamma 86.07
loop_
_atom_site_label
_atom_site_type_symbol
_atom_site_fract_x
_atom_site_fract_y
_atom_site_fract_z
_atom_site_occupancy
Ac1 Ac 0.0000 0.0000 0.0000 1
Y1 Y 0.1226 0.3631 0.7595 1
Y2 Y 0.3964 0.6369 0.7595 1
Y3 Y 0.6036 0.3631 0.2405 1
Y4 Y 0.8774 0.6369 0.2405 1
Tm1 Tm 0.2632 0.7632 0.5000 1
Tm2 Tm 0.5000 0.5000 0.0000 1
Tm3 Tm 0.7368 0.2368 0.5000 1
```

Most intense lines, 10° ≤ 2θ ≤ 90°, sorted by position:
d/Å  intensity
5.834  29.3
3.010  100.0
2.951  18.6
2.917  52.3
2.849  93.4
2.431  58.1
1.868  24.9
1.832  22.8
1.674  15.4
1.671  18.5
1.515  14.5
1.505  27.1

---

No. 5
Computed XRD peak list of AcY3Tm6 for Cu Kα, from a DFT-relaxed cell (PBE, Alexandria).
No peak broadening, texture or thermal motion is included.

Cell and atoms:
```
data_AcY3Tm6
_symmetry_space_group_name_H-M 'P 1'
_symmetry_Int_Tables_number 1
_symmetry_space_group_name_Hall 'P 1'
_cell_length_a 6.9218
_cell_length_b 6.9218
_cell_length_c 6.9218
_cell_angle_alpha 90.16
_cell_angle_beta 90.16
_cell_angle_gamma 90.16
loop_
_atom_site_label
_atom_site_type_symbol
_atom_site_fract_x
_atom_site_fract_y
_atom_site_fract_z
_atom_site_occupancy
Ac1 Ac 0.0000 0.0000 0.0000 1
Y1 Y 0.2611 0.2611 0.2611 1
Y2 Y 0.5000 0.5000 0.5000 1
Y3 Y 0.7389 0.7389 0.7389 1
Tm1 Tm 0.0000 0.3467 0.6533 1
Tm2 Tm 0.1644 0.8356 0.5000 1
Tm3 Tm 0.3467 0.6533 0.0000 1
Tm4 Tm 0.5000 0.1644 0.8356 1
Tm5 Tm 0.6533 0.0000 0.3467 1
Tm6 Tm 0.8356 0.5000 0.1644 1
```

Most intense lines, 10° ≤ 2θ ≤ 90°, sorted by position:
d/Å  intensity
3.092  89.7
2.830  100.0
2.819  9.2
2.444  8.7
2.187  10.9
2.088  28.9
1.680  29.3
1.633  25.3
1.629  22.7
1.415  13.5
1.287  12.0
1.263  9.5

---

No. 6
Computed XRD peak list of AcY3Tm2 for Cu Kα, from a DFT-relaxed cell (PBE, Alexandria).
No peak broadening, texture or thermal motion is included.

Cell and atoms:
```
data_AcY3Tm2
_symmetry_space_group_name_H-M 'P 1'
_symmetry_Int_Tables_number 1
_symmetry_space_group_name_Hall 'P 1'
_cell_length_a 6.7497
_cell_length_b 6.7497
_cell_length_c 9.0403
_cell_angle_alpha 98.32
_cell_angle_beta 98.32
_cell_angle_gamma 94.88
loop_
_atom_site_label
_atom_site_type_symbol
_atom_site_fract_x
_atom_site_fract_y
_atom_site_fract_z
_atom_site_occupancy
Ac1 Ac 0.0696 0.9304 0.7500 1
Ac2 Ac 0.9304 0.0696 0.2500 1
Y1 Y 0.1798 0.3572 0.0111 1
Y2 Y 0.3572 0.1798 0.5111 1
Y3 Y 0.4102 0.5898 0.7500 1
Y4 Y 0.5898 0.4102 0.2500 1
Y5 Y 0.6428 0.8202 0.4889 1
Y6 Y 0.8202 0.6428 0.9889 1
Tm1 Tm 0.1300 0.6174 0.3749 1
Tm2 Tm 0.3826 0.8700 0.1251 1
Tm3 Tm 0.6174 0.1300 0.8749 1
Tm4 Tm 0.8700 0.3826 0.6251 1
```

Most intense lines, 10° ≤ 2θ ≤ 90°, sorted by position:
d/Å  intensity
2.886  69.7
2.865  100.0
2.848  36.4
2.034  24.1
2.018  13.0
1.769  8.4
1.660  13.0
1.657  19.4
1.647  12.2
1.509  14.7
1.502  9.8
1.432  7.6